Computed powder X-ray diffraction pattern
Compound: CsHf3Ge5
Radiation: CuKα
Structure: a DFT-relaxed cell (GGA-PBE, OQMD)
No peak broadening, texture or thermal motion is included.

The 6 most intense peaks (2θ from 15° to 90°), by angle:
2θ = 25.7°, rel. 29, (0 0 2); 2θ = 32.8°, rel. 41, (1 1 1); 2θ = 34.9°, rel. 46, (2 0 0); 2θ = 37.3°, rel. 66, (2 0 1); 2θ = 43.9°, rel. 100, (2 0 2); 2θ = 62.7°, rel. 27, (2 2 0)

Crystal structure
```
data_CsHf3Ge5
_space_group_name_H-M_alt 'P 6/m m m'
_space_group_IT_number 191
_space_group_name_Hall '-P 6 2'
_cell_length_a 5.9309
_cell_length_b 5.9309
_cell_length_c 6.9357
_cell_angle_alpha 90.00
_cell_angle_beta 90.00
_cell_angle_gamma 120.00
loop_
_atom_site_label
_atom_site_fract_x
_atom_site_fract_y
_atom_site_fract_z
Cs1 0.0000 0.0000 0.0000
Hf1 0.0000 0.5000 0.5000
Ge1 0.0000 0.0000 0.5000
Ge2 0.3333 0.6667 0.1813
```



Computed powder X-ray diffraction pattern
Compound: K3Ir3Pt2
Radiation: CuKα
Structure: a DFT-relaxed cell (GGA-PBE, OQMD)
No peak broadening, texture or thermal motion is included.

The 6 most intense peaks (2θ from 15° to 90°), by angle:
2θ = 20.5°, rel. 100, (0 1 2); 2θ = 34.4°, rel. 25, (1 0 7); 2θ = 38.5°, rel. 33, (0 2 1); 2θ = 41.4°, rel. 47, (1 1 6); 2θ = 41.8°, rel. 59, (0 2 4); 2θ = 51.1°, rel. 32, (2 0 8)

Crystal structure
```
data_K3Ir3Pt2
_space_group_name_H-M_alt 'R -3 m'
_space_group_IT_number 166
_space_group_name_Hall '-R 3 2"'
_cell_length_a 5.4357
_cell_length_b 5.4357
_cell_length_c 21.9515
_cell_angle_alpha 90.00
_cell_angle_beta 90.00
_cell_angle_gamma 120.00
loop_
_atom_site_label
_atom_site_fract_x
_atom_site_fract_y
_atom_site_fract_z
K1 0.0000 0.0000 0.0000
K2 0.0000 0.0000 0.4107
Ir1 0.0000 0.5000 0.5000
Pt1 0.0000 0.0000 0.2606
```



Computed powder X-ray diffraction pattern
Compound: Tm5Tl4Au
Radiation: CuKα
Structure: a DFT-relaxed cell (GGA-PBE, OQMD)
No peak broadening, texture or thermal motion is included.

The 6 most intense peaks (2θ from 15° to 90°), by angle:
2θ = 33.7°, rel. 100, (1 0 5); 2θ = 35.6°, rel. 46, (1 1 0); 2θ = 51.2°, rel. 17, (2 0 0); 2θ = 58.9°, rel. 17, (1 1 10); 2θ = 62.7°, rel. 34, (2 1 5); 2θ = 70.8°, rel. 10, (2 0 10)

Crystal structure
```
data_Tm5Tl4Au
_space_group_name_H-M_alt 'P 4/m m m'
_space_group_IT_number 123
_space_group_name_Hall '-P 4 2'
_cell_length_a 3.5671
_cell_length_b 3.5671
_cell_length_c 20.0147
_cell_angle_alpha 90.00
_cell_angle_beta 90.00
_cell_angle_gamma 90.00
loop_
_atom_site_label
_atom_site_fract_x
_atom_site_fract_y
_atom_site_fract_z
Tm1 0.0000 0.0000 0.0000
Tm2 0.0000 0.0000 0.2069
Tm3 0.0000 0.0000 0.4140
Tl1 0.5000 0.5000 0.1034
Tl2 0.5000 0.5000 0.3093
Au1 0.5000 0.5000 0.5000
```



Computed powder X-ray diffraction pattern
Compound: NdSm2Al7Au2
Radiation: CuKα
Structure: a DFT-relaxed cell (GGA-PBE, OQMD)
No peak broadening, texture or thermal motion is included.

The 6 most intense peaks (2θ from 15° to 90°), by angle:
2θ = 20.1°, rel. 42, (0 0 6); 2θ = 22.6°, rel. 24, (1 0 4); 2θ = 31.7°, rel. 83, (1 1 0); 2θ = 37.9°, rel. 100, (1 1 6); 2θ = 60.6°, rel. 26, (3 0 6); 2θ = 62.1°, rel. 22, (1 1 15)

Crystal structure
```
data_NdSm2Al7Au2
_space_group_name_H-M_alt 'R -3 m'
_space_group_IT_number 166
_space_group_name_Hall '-R 3 2"'
_cell_length_a 5.6435
_cell_length_b 5.6435
_cell_length_c 26.4473
_cell_angle_alpha 90.00
_cell_angle_beta 90.00
_cell_angle_gamma 120.00
loop_
_atom_site_label
_atom_site_fract_x
_atom_site_fract_y
_atom_site_fract_z
Nd1 0.0000 0.0000 0.0000
Sm1 0.0000 0.0000 0.1423
Al1 0.0000 0.0000 0.5000
Al2 0.0091 0.5046 0.9176
Au1 0.0000 0.0000 0.3365
```